Calculated PXRD pattern
Compound: Pm4CdFe
Radiation: λ = 1.5418 Å (Cu Kα)
Structure: a cell relaxed with PBE

Cell and atoms:
```
data_Pm4CdFe
_cell_length_a 8.953
_cell_length_b 12.758
_cell_length_c 6.225
_cell_angle_alpha 90.00
_cell_angle_beta 107.08
_cell_angle_gamma 90.00
_symmetry_space_group_name_H-M 'C 1 2/c 1'
_symmetry_Int_Tables_number 15
loop_
_symmetry_equiv_pos_as_xyz
'x,y,z'
'-x,-y,-z'
'-x,y,-z+1/2'
'x,-y,z+1/2'
'x+1/2,y+1/2,z'
'-x+1/2,-y+1/2,-z'
'-x+1/2,y+1/2,-z+1/2'
'x+1/2,-y+1/2,z+1/2'
loop_
_atom_site_label
_atom_site_type_symbol
_atom_site_fract_x
_atom_site_fract_y
_atom_site_fract_z
Pm1 Pm 0.106 0.161 0.043
Pm2 Pm 0.215 0.414 0.395
Cd1 Cd 0.000 0.376 0.750
Fe1 Fe 0.000 0.000 0.250
```

Main lines, by angle (10 to 80 degrees two-theta):
(hkl)  Position (°2θ)  intensity
0 4 0  28.0  32
1 3 1  29.5  20
1 1 -2  29.6  54
3 1 -1  31.3  66
2 2 1  32.3  100
1 3 -2  35.8  53
1 5 0  36.8  15
3 3 -1  37.3  30
1 5 -1  38.6  14
4 2 -3  55.0  26